Record 1
Diffraction record for TaTeMo. The powder X-ray diffraction pattern is theoretical, not measured: it uses a cell relaxed with GGA-PBE and Cu Kα.
Peak positions follow from Bragg's law for the DFT cell and can differ from measured ones.

The 10 most intense peaks (10° ≤ 2θ ≤ 90°), low angle first:
13.19 deg, rel. 12
34.67 deg, rel. 31
37.08 deg, rel. 100
40.32 deg, rel. 18
52.67 deg, rel. 9
54.21 deg, rel. 15
63.72 deg, rel. 20
64.60 deg, rel. 10
71.17 deg, rel. 12
78.97 deg, rel. 10

Cell and atoms:
```
3
Lattice="0.0000 2.5875 6.7102 1.7378 0.0000 6.7102 1.7378 2.5875 0.0000" Properties=species:S:1:pos:R:3 pbc="T T T"
Ta 0.0000 0.0000 0.0000
Te 1.7378 2.5875 4.3031
Mo 1.7378 2.5875 8.6041
```

---

Record 2
Diffraction record for Ta4TeMo. The powder X-ray diffraction pattern is theoretical, not measured: it uses a cell relaxed with GGA-PBE and Cu Kα.
Peak positions follow from Bragg's law for the DFT cell and can differ from measured ones.

The 10 most intense peaks (10° ≤ 2θ ≤ 90°), low angle first:
19.92 deg, rel. 26
32.82 deg, rel. 15
38.69 deg, rel. 100
40.48 deg, rel. 57
47.09 deg, rel. 13
51.61 deg, rel. 7
62.52 deg, rel. 33
68.80 deg, rel. 31
81.83 deg, rel. 12
82.98 deg, rel. 22

Cell and atoms:
```
6
Lattice="0.0000 3.8595 3.8595 3.8595 0.0000 3.8595 3.8595 3.8595 0.0000" Properties=species:S:1:pos:R:3 pbc="T T T"
Ta 0.9670 0.9670 0.9670
Ta 2.8925 2.8925 0.9670
Ta 2.8925 0.9670 2.8925
Ta 0.9670 2.8925 2.8925
Te 5.7893 5.7893 5.7893
Mo 3.8595 3.8595 3.8595
```

---

Record 3
Diffraction record for TaTe2Mo. The powder X-ray diffraction pattern is theoretical, not measured: it uses a cell relaxed with GGA-PBE and Cu Kα.
Peak positions follow from Bragg's law for the DFT cell and can differ from measured ones.

The 10 most intense peaks (10° ≤ 2θ ≤ 90°), low angle first:
12.19 deg, rel. 100
24.91 deg, rel. 43
27.07 deg, rel. 43
34.92 deg, rel. 62
37.16 deg, rel. 21
41.21 deg, rel. 98
44.11 deg, rel. 22
49.29 deg, rel. 16
50.27 deg, rel. 16
79.14 deg, rel. 15

Cell and atoms:
```
4
Lattice="3.6974 0.0000 0.0000 0.0000 4.1064 0.0000 -0.0173 0.0000 7.2578" Properties=species:S:1:pos:R:3 pbc="T T T"
Ta 0.0000 0.0000 0.0000
Te 0.0000 2.0532 1.9623
Te 1.8316 0.0000 5.1732
Mo 1.8314 2.0532 7.1563
```

---

Record 4
Diffraction record for TaTiMo4. The powder X-ray diffraction pattern is theoretical, not measured: it uses a cell relaxed with GGA-PBE and Cu Kα.
Peak positions follow from Bragg's law for the DFT cell and can differ from measured ones.

The 10 most intense peaks (10° ≤ 2θ ≤ 90°), low angle first:
21.82 deg, rel. 10
39.90 deg, rel. 100
40.14 deg, rel. 25
40.29 deg, rel. 24
57.22 deg, rel. 8
58.18 deg, rel. 16
72.19 deg, rel. 8
72.78 deg, rel. 16
72.98 deg, rel. 16
86.06 deg, rel. 11

Cell and atoms:
```
6
Lattice="2.2464 -4.8302 0.0000 2.2464 4.8302 0.0000 0.0000 0.0000 4.4768" Properties=species:S:1:pos:R:3 pbc="T T T"
Ta 0.0000 0.0000 0.0000
Ti 2.2464 0.0000 2.2384
Mo 2.2464 3.1653 2.2384
Mo 2.2464 1.6493 0.0000
Mo 2.2464 -1.6493 0.0000
Mo 2.2464 -3.1653 2.2384
```

---

Record 5
Diffraction record for TaTi2Mo3. The powder X-ray diffraction pattern is theoretical, not measured: it uses a cell relaxed with GGA-PBE and Cu Kα.
Peak positions follow from Bragg's law for the DFT cell and can differ from measured ones.

The 10 most intense peaks (10° ≤ 2θ ≤ 90°), low angle first:
13.23 deg, rel. 17
20.64 deg, rel. 14
39.66 deg, rel. 26
39.96 deg, rel. 100
40.43 deg, rel. 24
57.65 deg, rel. 8
57.92 deg, rel. 16
72.19 deg, rel. 25
73.20 deg, rel. 16
86.21 deg, rel. 11

Cell and atoms:
```
6
Lattice="2.2726 -6.6933 0.0000 2.2726 6.6933 0.0000 0.0000 0.0000 3.1979" Properties=species:S:1:pos:R:3 pbc="T T T"
Ta 0.0000 0.0000 0.0000
Ti 2.2726 2.2473 0.0000
Ti 2.2726 -2.2473 0.0000
Mo 2.2726 4.4359 1.5990
Mo 2.2726 0.0000 1.5990
Mo 2.2726 -4.4359 1.5990
```

---

Record 6
Diffraction record for TaTiMo2. The powder X-ray diffraction pattern is theoretical, not measured: it uses a cell relaxed with GGA-PBE and Cu Kα.
Peak positions follow from Bragg's law for the DFT cell and can differ from measured ones.

The 10 most intense peaks (10° ≤ 2θ ≤ 90°), low angle first:
19.64 deg, rel. 19
34.27 deg, rel. 10
39.83 deg, rel. 100
44.84 deg, rel. 5
53.58 deg, rel. 6
57.43 deg, rel. 6
57.69 deg, rel. 11
72.20 deg, rel. 11
72.38 deg, rel. 22
85.82 deg, rel. 7

Cell and atoms:
```
4
Lattice="4.5197 0.0000 0.0000 0.0000 4.5197 0.0000 0.0000 0.0000 3.2094" Properties=species:S:1:pos:R:3 pbc="T T T"
Ta 0.0000 0.0000 0.0000
Ti 2.2598 2.2598 0.0000
Mo 0.0000 2.2598 1.6047
Mo 2.2598 0.0000 1.6047
```

---

Record 7
Diffraction record for Ta6TiMo2. The powder X-ray diffraction pattern is theoretical, not measured: it uses a cell relaxed with GGA-PBE and Cu Kα.
Peak positions follow from Bragg's law for the DFT cell and can differ from measured ones.

The 10 most intense peaks (10° ≤ 2θ ≤ 90°), low angle first:
17.52 deg, rel. 11
38.79 deg, rel. 99
38.90 deg, rel. 100
39.07 deg, rel. 99
55.76 deg, rel. 18
56.27 deg, rel. 16
56.61 deg, rel. 17
70.18 deg, rel. 33
70.52 deg, rel. 34
70.74 deg, rel. 34

Cell and atoms:
```
9
Lattice="5.1770 -1.6258 0.0000 5.1770 1.6258 0.0000 -3.1668 0.0000 9.3716" Properties=species:S:1:pos:R:3 pbc="T T T"
Ta -0.9649 0.0000 3.0886
Ta 2.9935 0.0000 1.0752
Ta 2.0413 0.0000 4.0786
Ta 5.1458 0.0000 5.2930
Ta 4.1937 0.0000 8.2965
Ta 8.1520 0.0000 6.2830
Ti 0.0000 0.0000 0.0000
Mo 1.0006 0.0000 7.3024
Mo 6.1865 0.0000 2.0693
```

---

Record 8
Diffraction record for Ta4TiMo3. The powder X-ray diffraction pattern is theoretical, not measured: it uses a cell relaxed with GGA-PBE and Cu Kα.
Peak positions follow from Bragg's law for the DFT cell and can differ from measured ones.

The 10 most intense peaks (10° ≤ 2θ ≤ 90°), low angle first:
21.67 deg, rel. 1
27.54 deg, rel. 16
39.33 deg, rel. 100
48.69 deg, rel. 5
56.84 deg, rel. 17
64.27 deg, rel. 4
64.35 deg, rel. 2
71.31 deg, rel. 34
84.56 deg, rel. 4
84.64 deg, rel. 7

Cell and atoms:
```
8
Lattice="3.2360 0.0000 0.0000 0.0000 4.5851 0.0000 0.0000 0.0000 9.1641" Properties=species:S:1:pos:R:3 pbc="T T T"
Ta 0.0000 0.0000 0.0000
Ta 0.0000 0.0000 4.5821
Ta 0.0000 2.2925 2.2311
Ta 0.0000 2.2925 6.9330
Ti 1.6180 2.2925 4.5821
Mo 1.6180 0.0000 2.3324
Mo 1.6180 0.0000 6.8317
Mo 1.6180 2.2925 0.0000
```

---

Record 9
Diffraction record for TaTi3Mo. The powder X-ray diffraction pattern is theoretical, not measured: it uses a cell relaxed with GGA-PBE and Cu Kα.
Peak positions follow from Bragg's law for the DFT cell and can differ from measured ones.

The 10 most intense peaks (10° ≤ 2θ ≤ 90°), low angle first:
11.06 deg, rel. 41
15.79 deg, rel. 67
23.72 deg, rel. 27
32.19 deg, rel. 19
36.85 deg, rel. 22
38.94 deg, rel. 55
39.15 deg, rel. 100
39.27 deg, rel. 48
39.88 deg, rel. 95
72.08 deg, rel. 30

Cell and atoms:
```
10
Lattice="8.1573 -1.5968 0.0000 8.1573 1.5968 0.0000 -1.2968 0.0000 6.5074" Properties=species:S:1:pos:R:3 pbc="T T T"
Ta 2.8033 0.0000 2.2433
Ta 12.2144 0.0000 4.2640
Ti -0.2649 0.0000 1.4330
Ti 2.0213 0.0000 5.6058
Ti 6.0685 0.0000 2.9626
Ti 8.9493 0.0000 3.5448
Ti 12.9965 0.0000 0.9016
Ti 15.2827 0.0000 5.0744
Mo 5.2433 0.0000 6.1199
Mo 9.7745 0.0000 0.3875
```

---

Record 10
Diffraction record for Ta2TiMo. The powder X-ray diffraction pattern is theoretical, not measured: it uses a cell relaxed with GGA-PBE and Cu Kα.
Peak positions follow from Bragg's law for the DFT cell and can differ from measured ones.

The 10 most intense peaks (10° ≤ 2θ ≤ 90°), low angle first:
19.32 deg, rel. 2
27.47 deg, rel. 22
33.83 deg, rel. 1
39.24 deg, rel. 100
48.57 deg, rel. 7
52.75 deg, rel. 1
56.71 deg, rel. 17
64.14 deg, rel. 9
71.13 deg, rel. 34
84.39 deg, rel. 11

Cell and atoms:
```
4
Lattice="4.5936 0.0000 0.0000 0.0000 4.5936 0.0000 0.0000 0.0000 3.2434" Properties=species:S:1:pos:R:3 pbc="T T T"
Ta 0.0000 2.2968 0.0000
Ta 2.2968 0.0000 0.0000
Ti 0.0000 0.0000 1.6217
Mo 2.2968 2.2968 1.6217
```

---

Record 11
Diffraction record for Ta2TiMo2. The powder X-ray diffraction pattern is theoretical, not measured: it uses a cell relaxed with GGA-PBE and Cu Kα.
Peak positions follow from Bragg's law for the DFT cell and can differ from measured ones.

The 10 most intense peaks (10° ≤ 2θ ≤ 90°), low angle first:
25.92 deg, rel. 23
31.62 deg, rel. 50
36.04 deg, rel. 44
37.29 deg, rel. 28
40.76 deg, rel. 100
41.61 deg, rel. 27
44.07 deg, rel. 24
44.93 deg, rel. 26
67.99 deg, rel. 22
77.02 deg, rel. 18

Cell and atoms:
```
10
Lattice="2.6545 -6.7667 0.0000 2.6545 6.7667 0.0000 0.0000 0.0000 4.9841" Properties=species:S:1:pos:R:3 pbc="T T T"
Ta 2.6545 5.8587 3.7381
Ta 2.6545 2.4966 1.2460
Ta 2.6545 -2.4966 3.7381
Ta 2.6545 -5.8587 1.2460
Ti 2.6545 0.0000 0.0000
Ti 2.6545 0.0000 2.4920
Mo 1.3029 1.9848 3.7381
Mo 1.3029 -1.9848 1.2460
Mo 4.0061 1.9848 3.7381
Mo 4.0061 -1.9848 1.2460
```

---

Record 12
Diffraction record for Ta3Ti2Mo. The powder X-ray diffraction pattern is theoretical, not measured: it uses a cell relaxed with GGA-PBE and Cu Kα.
Peak positions follow from Bragg's law for the DFT cell and can differ from measured ones.

The 10 most intense peaks (10° ≤ 2θ ≤ 90°), low angle first:
21.61 deg, rel. 47
21.88 deg, rel. 18
32.80 deg, rel. 45
37.29 deg, rel. 38
37.73 deg, rel. 64
38.22 deg, rel. 100
39.77 deg, rel. 28
41.84 deg, rel. 32
49.34 deg, rel. 23
53.05 deg, rel. 22

Cell and atoms:
```
12
Lattice="3.4005 -4.0624 0.0000 3.4005 4.0624 0.0000 -1.0617 0.0000 7.7337" Properties=species:S:1:pos:R:3 pbc="T T T"
Ta 2.6042 3.1096 5.8003
Ta 0.7088 0.6406 7.5940
Ta 1.2396 -0.6406 3.7271
Ta 4.4996 0.6406 4.0066
Ta 5.0305 -0.6406 0.1398
Ta 3.1351 -3.1096 1.9334
Ti 2.1737 2.1229 2.9034
Ti 4.0964 2.1229 0.9635
Ti 1.6428 -2.1229 6.7702
Ti 3.5656 -2.1229 4.8304
Mo 2.6042 0.4147 5.8003
Mo 3.1351 -0.4147 1.9334
```